Theoretical powder diffractogram of LiCd3F6 for Cu Kα (weighted mean of Kα1 and Kα2), from a PBE-relaxed structure.

Largest 8 diffraction maxima, low angle first, 2θ from 10° to 90°:
| 2theta | d/Å | I/Imax |
| --- | --- | --- |
| 18.37 | 4.830 | 45.9 |
| 19.46 | 4.562 | 31.6 |
| 29.51 | 3.027 | 100.0 |
| 30.70 | 2.912 | 28.2 |
| 31.05 | 2.880 | 89.6 |
| 31.92 | 2.803 | 28.3 |
| 36.43 | 2.466 | 40.3 |
| 44.88 | 2.020 | 32.8 |

Cell and atoms:
```
LiCd3F6
1.0
5.620 0.000 0.000
0.000 5.825 0.000
-5.024 0.000 8.641
Li Cd F
2 6 12
Direct
0.000 0.000 0.000
0.000 0.500 0.500
0.208 0.063 0.742
0.208 0.437 0.242
0.500 0.000 0.500
0.500 0.500 0.000
0.792 0.563 0.758
0.792 0.937 0.258
0.105 0.217 0.422
0.105 0.283 0.922
0.192 0.696 0.415
0.192 0.804 0.915
0.395 0.072 0.244
0.395 0.428 0.744
0.605 0.572 0.256
0.605 0.928 0.756
0.808 0.196 0.085
0.808 0.304 0.585
0.895 0.717 0.078
0.895 0.783 0.578
```